Record 1
Ce6Hg2H: simulated XRD peak list (Cu Kα (λ = 1.5418 Å)), based on a GGA-PBE-relaxed structure.

Structural model:
Unit cell a=6.6262 b=6.6619 c=11.7000 alpha=90.00 beta=123.84 gamma=90.00
Element x y z (fractional)
Ce  0.1998  0.2094  0.0229
Ce  0.1998  0.2906  0.5229
Ce  0.2371  0.7218  0.0076
Ce  0.2371  0.7782  0.5076
Ce  0.2942  0.0315  0.2558
Ce  0.2942  0.4685  0.7558
Ce  0.7058  0.5315  0.2442
Ce  0.7058  0.9685  0.7442
Ce  0.7629  0.2218  0.4924
Ce  0.7629  0.2782  0.9924
Ce  0.8002  0.7094  0.4771
Ce  0.8002  0.7906  0.9771
Hg  0.2306  0.5193  0.2682
Hg  0.2306  0.9807  0.7682
Hg  0.7694  0.0193  0.2318
Hg  0.7694  0.4807  0.7318
H  0.5000  0.0000  0.5000
H  0.5000  0.5000  0.0000

Principal peaks in the range 2θ = 10–90°, sorted by position:
2θ/deg	I_rel
30.86	6.8
31.46	9.4
31.63	6.9
32.57	100.0
32.90	21.7
37.00	24.4
38.32	32.3
54.08	14.9
63.91	7.0
65.68	6.6

***

Record 2
Ce2Hg2H: simulated XRD peak list (Cu Kα (λ = 1.5418 Å)), based on a GGA-PBE-relaxed structure.

Structural model:
Unit cell a=6.2257 b=6.2257 c=8.7681 alpha=90.00 beta=90.00 gamma=138.36
Element x y z (fractional)
Ce  0.0459  0.9541  0.5000
Ce  0.3725  0.6275  0.3295
Ce  0.6275  0.3725  0.8295
Ce  0.9541  0.0459  0.0000
Hg  0.2492  0.7508  0.0262
Hg  0.3669  0.6331  0.7091
Hg  0.6331  0.3669  0.2091
Hg  0.7508  0.2492  0.5262
H  0.0647  0.9353  0.7761
H  0.9353  0.0647  0.2761

Principal peaks in the range 2θ = 10–90°, sorted by position:
2θ/deg	I_rel
29.69	72.1
30.65	46.1
32.35	100.0
34.34	38.0
37.08	60.0
37.68	64.6
40.78	39.0
56.29	33.1
61.71	25.1
68.28	20.8

***

Record 3
CeHoH8Ir2: simulated XRD peak list (Cu Kα (λ = 1.5418 Å)), based on a GGA-PBE-relaxed structure.

Structural model:
Unit cell a=6.7340 b=6.7340 c=6.7340 alpha=41.82 beta=41.82 gamma=41.82
Element x y z (fractional)
Ce  0.0000  0.0000  0.0000
Ho  0.5000  0.5000  0.5000
H  0.0231  0.9193  0.3859
H  0.0807  0.6141  0.9769
H  0.3290  0.3290  0.3290
H  0.3859  0.0231  0.9193
H  0.6141  0.9769  0.0807
H  0.6710  0.6710  0.6710
H  0.9193  0.3859  0.0231
H  0.9769  0.0807  0.6141
Ir  0.2407  0.2407  0.2407
Ir  0.7593  0.7593  0.7593

Principal peaks in the range 2θ = 10–90°, sorted by position:
2θ/deg	I_rel
28.92	100.0
37.42	52.9
45.02	28.0
47.98	25.5
59.93	11.8
62.38	23.4
67.51	9.5
72.83	13.5
73.20	11.4
87.02	9.7

***

Record 4
Ce2H2I7: simulated XRD peak list (Cu Kα (λ = 1.5418 Å)), based on a GGA-PBE-relaxed structure.

Structural model:
Unit cell a=8.0270 b=8.0270 c=8.3548 alpha=115.06 beta=115.06 gamma=81.36
Element x y z (fractional)
Ce  0.2207  0.2207  0.0915
Ce  0.7793  0.7793  0.9085
H  0.3165  0.6835  0.0000
H  0.6835  0.3165  0.0000
I  0.0617  0.0617  0.2967
I  0.1217  0.4969  0.8412
I  0.4969  0.1217  0.8412
I  0.5000  0.5000  0.5000
I  0.5031  0.8783  0.1588
I  0.8783  0.5031  0.1588
I  0.9383  0.9383  0.7033

Principal peaks in the range 2θ = 10–90°, sorted by position:
2θ/deg	I_rel
12.77	39.3
23.59	21.5
25.96	57.3
27.04	100.0
27.52	28.9
27.76	83.3
32.11	21.6
35.71	46.0
37.12	20.6
41.09	41.1

***

Record 5
CeInNi4H6: simulated XRD peak list (Cu Kα (λ = 1.5418 Å)), based on a GGA-PBE-relaxed structure.

Structural model:
Unit cell a=4.3867 b=4.3867 c=6.7374 alpha=90.00 beta=90.00 gamma=120.00
Element x y z (fractional)
Ce  0.0000  0.0000  0.0000
In  0.0000  0.0000  0.5000
Ni  0.3333  0.6667  0.3131
Ni  0.3333  0.6667  0.6869
Ni  0.6667  0.3333  0.3131
Ni  0.6667  0.3333  0.6869
H  0.0000  0.5000  0.1624
H  0.0000  0.5000  0.8376
H  0.5000  0.0000  0.1624
H  0.5000  0.0000  0.8376
H  0.5000  0.5000  0.1624
H  0.5000  0.5000  0.8376

Principal peaks in the range 2θ = 10–90°, sorted by position:
2θ/deg	I_rel
13.14	8.3
23.42	17.6
26.94	8.6
35.62	100.0
41.16	72.2
55.54	26.3
58.85	12.8
60.09	11.8
71.41	24.6
75.00	11.4

***

Record 6
CeInH6Rh2: simulated XRD peak list (Cu Kα (λ = 1.5418 Å)), based on a GGA-PBE-relaxed structure.

Structural model:
Unit cell a=6.1132 b=6.1132 c=6.1132 alpha=44.49 beta=44.49 gamma=44.49
Element x y z (fractional)
Ce  0.0000  0.0000  0.0000
In  0.5000  0.5000  0.5000
H  0.0418  0.5630  0.5630
H  0.4370  0.4370  0.9582
H  0.4370  0.9582  0.4370
H  0.5630  0.0418  0.5630
H  0.5630  0.5630  0.0418
H  0.9582  0.4370  0.4370
Rh  0.2148  0.2148  0.2148
Rh  0.7852  0.7852  0.7852

Principal peaks in the range 2θ = 10–90°, sorted by position:
2θ/deg	I_rel
16.12	11.7
31.12	100.0
35.24	21.0
38.92	77.0
50.64	25.2
51.63	13.3
60.71	17.4
65.66	22.5
70.48	13.1
74.49	10.9